No. 1
This entry pairs a crystal structure of Ca3Si2H6O10 with its simulated PXRD pattern. Radiation: Cu Kα X-rays. Structure: a crystal structure in the Materials Project, relaxed with PBE.
Peak positions follow from Bragg's law for the DFT cell and can differ from measured ones.

Structural model:
a b c (Å): 16.3690 5.6869 11.6860
angles (deg): 90.00 126.08 90.00
Space group Cc (No. 9)
Asymmetric unit:
Ca 0.0000 0.1947 0.0000 (multiplicity 4)
Ca 0.1241 0.2180 0.8275 (multiplicity 4)
Ca 0.1858 0.2885 0.5804 (multiplicity 4)
Si 0.2240 0.2323 0.2902 (multiplicity 4)
Si 0.4762 0.1922 0.7908 (multiplicity 4)
H 0.3006 0.3012 0.1602 (multiplicity 4)
H 0.3270 0.1520 0.5245 (multiplicity 4)
H 0.3295 0.3666 0.0545 (multiplicity 4)
H 0.3517 0.0162 0.7904 (multiplicity 4)
H 0.4053 0.2613 0.9470 (multiplicity 4)
H 0.4391 0.1204 0.0847 (multiplicity 4)
O 0.0368 0.0640 0.3692 (multiplicity 4)
O 0.0466 0.4734 0.8965 (multiplicity 4)
O 0.1506 0.0178 0.1844 (multiplicity 4)
O 0.1666 0.4838 0.2315 (multiplicity 4)
O 0.2492 0.1545 0.4478 (multiplicity 4)
O 0.2710 0.3616 0.0599 (multiplicity 4)
O 0.3320 0.2292 0.3097 (multiplicity 4)
O 0.3673 0.1907 0.7793 (multiplicity 4)
O 0.4345 0.2884 0.0494 (multiplicity 4)
O 0.4431 0.1499 0.6300 (multiplicity 4)

Most intense lines, 5° ≤ 2θ ≤ 70°, in order of rising 2θ:
(2 0 0), 2θ = 13.39°, d 6.615, intensity 40; (1 1 -1), 2θ = 17.38°, d 5.102, intensity 21; (4 0 0), 2θ = 26.96°, d 3.307, intensity 20; (3 1 -3), 2θ = 27.99°, d 3.188, intensity 91; (3 1 1), 2θ = 31.22°, d 2.865, intensity 100; (0 2 0), 2θ = 31.47°, d 2.843, intensity 43; (5 1 -3), 2θ = 32.69°, d 2.739, intensity 83; (4 0 2), 2θ = 41.55°, d 2.174, intensity 21; (0 2 4), 2θ = 50.22°, d 1.817, intensity 25; (8 0 -6), 2θ = 51.43°, d 1.777, intensity 23

=====

No. 2
This entry pairs a crystal structure of Ca6Si6H2O19 with its simulated PXRD pattern. Radiation: Cu Kα X-rays. Structure: a crystal structure in the Materials Project, relaxed with PBE.
Peak positions follow from Bragg's law for the DFT cell and can differ from measured ones.

Structural model:
a b c (Å): 7.0938 7.4162 8.8067
angles (deg): 102.07 90.10 90.08
Space group P-1 (No. 2)
Asymmetric unit:
Ca 0.0000 0.0000 0.0000 (multiplicity 1)
Ca 0.0000 0.5000 0.0000 (multiplicity 1)
Ca 0.1525 0.3437 0.3564 (multiplicity 2)
Ca 0.1558 0.8379 0.3661 (multiplicity 2)
Si 0.2713 0.2182 0.7101 (multiplicity 2)
Si 0.2735 0.6354 0.7105 (multiplicity 2)
Si 0.4434 0.0451 0.1815 (multiplicity 2)
H 0.3587 0.5501 0.1850 (multiplicity 2)
O 0.1195 0.7084 0.8454 (multiplicity 2)
O 0.1213 0.2128 0.8476 (multiplicity 2)
O 0.1698 0.1405 0.5424 (multiplicity 2)
O 0.1742 0.6316 0.5426 (multiplicity 2)
O 0.2184 0.0488 0.2019 (multiplicity 2)
O 0.2229 0.5538 0.2001 (multiplicity 2)
O 0.3553 0.4280 0.7157 (multiplicity 2)
O 0.4727 0.1092 0.7278 (multiplicity 2)
O 0.4751 0.7528 0.7311 (multiplicity 2)
O 0.5000 0.0000 0.0000 (multiplicity 1)

Most intense lines, 5° ≤ 2θ ≤ 70°, in order of rising 2θ:
(1 0 0), 2θ = 12.48°, d 7.094, intensity 29; (1 1 0), 2θ = 17.51°, d 5.065, intensity 22; (0 0 2), 2θ = 20.63°, d 4.306, intensity 36; (1 0 2), 2θ = 24.18°, d 3.680, intensity 47; (2 0 -1), 2θ = 27.17°, d 3.282, intensity 52; (0 2 1), 2θ = 28.66°, d 3.115, intensity 100; (-1 2 1), 2θ = 31.35°, d 2.853, intensity 52; (2 0 2), 2θ = 32.74°, d 2.735, intensity 45; (2 2 0), 2θ = 35.41°, d 2.535, intensity 23; (0 4 -1), 2θ = 49.14°, d 1.854, intensity 28

=====

No. 3
This entry pairs a crystal structure of CaU2Si2H4O12 with its simulated PXRD pattern. Radiation: Cu Kα X-rays. Structure: a crystal structure in the Materials Project, relaxed with PBE.
Peak positions follow from Bragg's law for the DFT cell and can differ from measured ones.

Structural model:
a b c (Å): 6.8596 7.0350 13.6541
angles (deg): 90.00 95.69 90.00
Space group P2_1 (No. 4)
Asymmetric unit:
Ca 0.1803 0.0000 0.2374 (multiplicity 2)
U 0.3581 0.8358 0.5018 (multiplicity 2)
U 0.3795 0.8203 0.9914 (multiplicity 2)
Si 0.1612 0.3278 0.9614 (multiplicity 2)
Si 0.1750 0.3340 0.4510 (multiplicity 2)
H 0.0278 0.3819 0.1093 (multiplicity 2)
H 0.0908 0.4814 0.6452 (multiplicity 2)
H 0.2619 0.4037 0.3040 (multiplicity 2)
H 0.4764 0.6188 0.7353 (multiplicity 2)
O 0.0076 0.8158 0.9527 (multiplicity 2)
O 0.0407 0.8341 0.5129 (multiplicity 2)
O 0.0417 0.3494 0.8576 (multiplicity 2)
O 0.1568 0.3231 0.3244 (multiplicity 2)
O 0.3096 0.1427 0.9809 (multiplicity 2)
O 0.3160 0.5133 0.4882 (multiplicity 2)
O 0.3168 0.4980 0.0011 (multiplicity 2)
O 0.3179 0.1574 0.4909 (multiplicity 2)
O 0.3213 0.8355 0.3635 (multiplicity 2)
O 0.3769 0.7975 0.8600 (multiplicity 2)
O 0.3777 0.8474 0.1253 (multiplicity 2)
O 0.4058 0.8380 0.6363 (multiplicity 2)

Most intense lines, 5° ≤ 2θ ≤ 70°, in order of rising 2θ:
(0 0 2), 2θ = 13.02°, d 6.800, intensity 100; (1 0 -2), 2θ = 17.48°, d 5.073, intensity 19; (1 1 0), 2θ = 18.11°, d 4.899, intensity 25; (1 1 2), 2θ = 23.13°, d 3.846, intensity 12; (0 2 0), 2θ = 25.32°, d 3.518, intensity 21; (0 0 4), 2θ = 26.24°, d 3.396, intensity 16; (0 2 2), 2θ = 28.57°, d 3.124, intensity 27; (2 1 0), 2θ = 29.08°, d 3.071, intensity 25; (2 1 -2), 2θ = 30.90°, d 2.894, intensity 25; (2 1 2), 2θ = 33.09°, d 2.707, intensity 18